Theoretical powder X-ray diffraction pattern of Er7Tl2C for λ = 1.5418 Å (Cu Kα), from a crystal structure in Alexandria, relaxed with GGA-PBE.

Cell and atoms:
Lattice parameters (Å, degrees): 7.314 7.314 7.314 60.00 60.00 60.00
Atoms (fractional coordinates):
1 Er 0.000 0.000 0.000
2 Er 0.271 0.271 0.729
3 Er 0.271 0.729 0.271
4 Er 0.271 0.729 0.729
5 Er 0.729 0.271 0.271
6 Er 0.729 0.271 0.729
7 Er 0.729 0.729 0.271
8 Tl 0.250 0.250 0.250
9 Tl 0.750 0.750 0.750
10 C 0.500 0.500 0.500

Main lines, most intense first (10 to 90 degrees two-theta):
2θ = 29.93°, rel. 100; 2θ = 34.69°, rel. 85; 2θ = 49.88°, rel. 58; 2θ = 59.26°, rel. 38; 2θ = 83.62°, rel. 22; 2θ = 62.18°, rel. 19; 2θ = 37.92°, rel. 15; 2θ = 81.05°, rel. 14; 2θ = 24.34°, rel. 13; 2θ = 69.85°, rel. 10

---

Theoretical powder X-ray diffraction pattern of ErTm2C3 for λ = 1.5418 Å (Cu Kα), from a crystal structure in Alexandria, relaxed with GGA-PBE.

Cell and atoms:
Lattice parameters (Å, degrees): 6.834 6.834 6.834 131.78 86.22 113.56
Atoms (fractional coordinates):
1 Er 0.274 0.024 0.250
2 Er 0.726 0.976 0.750
3 Tm 0.098 0.670 0.428
4 Tm 0.257 0.330 0.928
5 Tm 0.743 0.670 0.072
6 Tm 0.902 0.330 0.572
7 C 0.000 0.000 0.500
8 C 0.000 0.124 0.124
9 C 0.000 0.500 0.000
10 C 0.000 0.876 0.876
11 C 0.500 0.124 0.624
12 C 0.500 0.876 0.376

Main lines, most intense first (10 to 90 degrees two-theta):
2θ = 26.76°, rel. 100; 2θ = 39.55°, rel. 73; 2θ = 32.06°, rel. 63; 2θ = 29.38°, rel. 59; 2θ = 14.79°, rel. 46; 2θ = 44.04°, rel. 45; 2θ = 30.10°, rel. 36; 2θ = 29.83°, rel. 35; 2θ = 44.36°, rel. 33; 2θ = 39.68°, rel. 31

---

Theoretical powder X-ray diffraction pattern of ErTm3C2 for λ = 1.5418 Å (Cu Kα), from a crystal structure in Alexandria, relaxed with GGA-PBE.

Cell and atoms:
Lattice parameters (Å, degrees): 7.260 7.260 7.260 58.47 58.47 58.47
Atoms (fractional coordinates):
1 Er 0.241 0.241 0.241
2 Er 0.759 0.759 0.759
3 Tm 0.240 0.740 0.740
4 Tm 0.260 0.260 0.760
5 Tm 0.260 0.760 0.260
6 Tm 0.740 0.240 0.740
7 Tm 0.740 0.740 0.240
8 Tm 0.760 0.260 0.260
9 C 0.000 0.000 0.500
10 C 0.000 0.500 0.000
11 C 0.500 0.000 0.000
12 C 0.500 0.500 0.500

Main lines, most intense first (10 to 90 degrees two-theta):
2θ = 30.77°, rel. 100; 2θ = 35.40°, rel. 75; 2θ = 29.81°, rel. 32; 2θ = 51.55°, rel. 27; 2θ = 60.69°, rel. 26; 2θ = 50.30°, rel. 23; 2θ = 61.25°, rel. 15; 2θ = 64.09°, rel. 13; 2θ = 84.10°, rel. 12; 2θ = 86.64°, rel. 12

---

Theoretical powder X-ray diffraction pattern of YEr3C8 for λ = 1.5418 Å (Cu Kα), from a crystal structure in Alexandria, relaxed with GGA-PBE.

Cell and atoms:
Lattice parameters (Å, degrees): 6.312 6.041 6.651 59.42 55.47 65.11
Atoms (fractional coordinates):
1 Y 0.000 0.000 0.000
2 Er 0.288 0.288 0.212
3 Er 0.488 0.488 0.512
4 Er 0.788 0.788 0.712
5 C 0.077 0.406 0.594
6 C 0.110 0.605 0.890
7 C 0.350 0.865 0.135
8 C 0.406 0.077 0.923
9 C 0.568 0.894 0.432
10 C 0.605 0.110 0.395
11 C 0.865 0.350 0.650
12 C 0.894 0.568 0.106

Main lines, most intense first (10 to 90 degrees two-theta):
2θ = 26.89°, rel. 100; 2θ = 29.80°, rel. 94; 2θ = 28.84°, rel. 89; 2θ = 48.09°, rel. 54; 2θ = 49.96°, rel. 44; 2θ = 36.85°, rel. 33; 2θ = 53.44°, rel. 28; 2θ = 39.88°, rel. 26; 2θ = 55.42°, rel. 18; 2θ = 60.50°, rel. 15

---

Theoretical powder X-ray diffraction pattern of YErC for λ = 1.5418 Å (Cu Kα), from a crystal structure in Alexandria, relaxed with GGA-PBE.

Cell and atoms:
Lattice parameters (Å, degrees): 3.569 3.569 6.199 90.00 90.00 120.00
Atoms (fractional coordinates):
1 Y 0.000 0.000 0.000
2 Er 0.333 0.667 0.566
3 C 0.667 0.333 0.777

Main lines, most intense first (10 to 90 degrees two-theta):
2θ = 32.36°, rel. 100; 2θ = 28.85°, rel. 48; 2θ = 41.25°, rel. 29; 2θ = 53.35°, rel. 25; 2θ = 14.29°, rel. 23; 2θ = 59.80°, rel. 22; 2θ = 51.19°, rel. 20; 2θ = 61.87°, rel. 15; 2θ = 84.36°, rel. 13; 2θ = 67.63°, rel. 9

---

Theoretical powder X-ray diffraction pattern of Y3ErC8 for λ = 1.5418 Å (Cu Kα), from a crystal structure in Alexandria, relaxed with GGA-PBE.

Cell and atoms:
Lattice parameters (Å, degrees): 6.232 6.230 6.750 57.21 57.20 65.59
Atoms (fractional coordinates):
1 Y 0.000 0.000 0.000
2 Y 0.249 0.249 0.251
3 Y 0.749 0.749 0.751
4 Er 0.500 0.500 0.500
5 C 0.092 0.412 0.588
6 C 0.132 0.624 0.376
7 C 0.375 0.870 0.625
8 C 0.412 0.092 0.908
9 C 0.587 0.908 0.413
10 C 0.624 0.132 0.868
11 C 0.870 0.375 0.130
12 C 0.908 0.587 0.092

Main lines, most intense first (10 to 90 degrees two-theta):
2θ = 29.10°, rel. 100; 2θ = 48.31°, rel. 56; 2θ = 26.41°, rel. 48; 2θ = 37.69°, rel. 32; 2θ = 53.18°, rel. 21; 2θ = 79.52°, rel. 14; 2θ = 75.66°, rel. 13; 2θ = 60.34°, rel. 12; 2θ = 61.43°, rel. 11; 2θ = 85.85°, rel. 10

---

Theoretical powder X-ray diffraction pattern of Er2ZrC2 for λ = 1.5418 Å (Cu Kα), from a crystal structure in Alexandria, relaxed with GGA-PBE.

Cell and atoms:
Lattice parameters (Å, degrees): 3.450 3.450 26.822 90.00 90.00 120.00
Atoms (fractional coordinates):
1 Er 0.000 0.000 0.233
2 Er 0.000 0.000 0.767
3 Er 0.333 0.667 0.433
4 Er 0.333 0.667 0.900
5 Er 0.667 0.333 0.100
6 Er 0.667 0.333 0.567
7 Zr 0.000 0.000 0.000
8 Zr 0.333 0.667 0.667
9 Zr 0.667 0.333 0.333
10 C 0.000 0.000 0.385
11 C 0.000 0.000 0.615
12 C 0.333 0.667 0.052
13 C 0.333 0.667 0.282
14 C 0.667 0.333 0.718
15 C 0.667 0.333 0.948

Main lines, most intense first (10 to 90 degrees two-theta):
2θ = 32.82°, rel. 100; 2θ = 40.43°, rel. 49; 2θ = 34.36°, rel. 48; 2θ = 30.66°, rel. 44; 2θ = 53.10°, rel. 35; 2θ = 29.98°, rel. 34; 2θ = 54.01°, rel. 32; 2θ = 62.19°, rel. 28; 2θ = 19.86°, rel. 28; 2θ = 63.85°, rel. 15

---

Theoretical powder X-ray diffraction pattern of EuH6CI3N for λ = 1.5418 Å (Cu Kα), from a crystal structure in Alexandria, relaxed with GGA-PBE.

Cell and atoms:
Lattice parameters (Å, degrees): 8.938 8.938 13.222 90.52 90.52 89.96
Atoms (fractional coordinates):
1 Eu 0.002 0.998 0.500
2 Eu 0.498 0.512 0.000
3 Eu 0.512 0.498 0.500
4 Eu 0.998 0.002 0.000
5 H 0.000 0.499 0.156
6 H 0.002 0.629 0.260
7 H 0.072 0.301 0.274
8 H 0.072 0.423 0.370
9 H 0.128 0.506 0.759
10 H 0.198 0.441 0.278
11 H 0.301 0.072 0.774
12 H 0.310 0.940 0.274
13 H 0.423 0.072 0.870
14 H 0.434 0.923 0.369
15 H 0.437 0.801 0.273
16 H 0.441 0.198 0.778
17 H 0.481 0.867 0.756
18 H 0.499 0.000 0.656
19 H 0.506 0.128 0.259
20 H 0.512 0.996 0.156
21 H 0.629 0.002 0.760
22 H 0.642 0.980 0.260
23 H 0.801 0.437 0.773
24 H 0.867 0.481 0.256
25 H 0.923 0.434 0.869
26 H 0.940 0.310 0.774
27 H 0.980 0.642 0.760
28 H 0.996 0.512 0.656
29 C 0.012 0.528 0.737
30 C 0.513 0.982 0.737
31 C 0.528 0.012 0.237
32 C 0.982 0.513 0.237
33 I 0.013 0.024 0.749
34 I 0.024 0.013 0.249
35 I 0.193 0.313 0.993
36 I 0.206 0.697 0.493
37 I 0.312 0.821 0.994
38 I 0.313 0.193 0.493
39 I 0.482 0.510 0.248
40 I 0.510 0.482 0.748
41 I 0.697 0.206 0.993
42 I 0.698 0.807 0.491
43 I 0.807 0.698 0.991
44 I 0.821 0.312 0.494
45 N 0.087 0.414 0.293
46 N 0.414 0.087 0.793
47 N 0.421 0.913 0.291
48 N 0.913 0.421 0.791

Main lines, most intense first (10 to 90 degrees two-theta):
2θ = 14.01°, rel. 100; 2θ = 28.24°, rel. 78; 2θ = 31.66°, rel. 73; 2θ = 26.98°, rel. 72; 2θ = 13.39°, rel. 72; 2θ = 23.20°, rel. 36; 2θ = 42.31°, rel. 33; 2θ = 42.19°, rel. 31; 2θ = 39.46°, rel. 31; 2θ = 23.31°, rel. 29

---

Copy entry 3 word for word.
Theoretical powder X-ray diffraction pattern of ErTm3C2 for λ = 1.5418 Å (Cu Kα), from a crystal structure in Alexandria, relaxed with GGA-PBE.

Cell and atoms:
Lattice parameters (Å, degrees): 7.260 7.260 7.260 58.47 58.47 58.47
Atoms (fractional coordinates):
1 Er 0.241 0.241 0.241
2 Er 0.759 0.759 0.759
3 Tm 0.240 0.740 0.740
4 Tm 0.260 0.260 0.760
5 Tm 0.260 0.760 0.260
6 Tm 0.740 0.240 0.740
7 Tm 0.740 0.740 0.240
8 Tm 0.760 0.260 0.260
9 C 0.000 0.000 0.500
10 C 0.000 0.500 0.000
11 C 0.500 0.000 0.000
12 C 0.500 0.500 0.500

Main lines, most intense first (10 to 90 degrees two-theta):
2θ = 30.77°, rel. 100; 2θ = 35.40°, rel. 75; 2θ = 29.81°, rel. 32; 2θ = 51.55°, rel. 27; 2θ = 60.69°, rel. 26; 2θ = 50.30°, rel. 23; 2θ = 61.25°, rel. 15; 2θ = 64.09°, rel. 13; 2θ = 84.10°, rel. 12; 2θ = 86.64°, rel. 12